# Mn5In3O12
Simulated powder X-ray diffraction pattern, copper Kα. Input: a structure optimized by DFT (PBE+U).
Intensities are scaled so that the largest is 100.

Structure:
```
20
Lattice="5.199 0.000 0.000 0.026 5.406 0.000 0.196 0.015 7.920" Properties=species:S:1:pos:R:3 pbc="T T T"
Mn 0.000 0.000 0.000
Mn 0.143 5.407 4.016
Mn 0.262 2.429 6.044
Mn 2.591 2.696 0.014
Mn 2.715 2.706 4.034
In 2.665 5.100 5.915
In 2.773 0.325 2.091
In 5.126 3.021 1.932
O 0.748 5.064 2.150
O 1.185 3.763 7.484
O 1.172 3.798 4.650
O 1.768 1.063 7.347
O 1.749 1.044 4.427
O 1.975 2.372 1.886
O 3.428 3.055 6.114
O 3.670 4.320 0.659
O 3.745 4.311 3.504
O 4.174 1.603 0.540
O 4.255 1.612 3.361
O 4.688 0.368 5.840
```

The 10 most intense peaks (2θ = 10–80°), in order of rising 2θ:
Position (°2θ), Rel. int.
26.50, 11
32.54, 39
32.67, 41
33.19, 100
34.51, 29
45.83, 21
48.48, 14
48.73, 15
57.81, 15
59.38, 9